Cd2Sb6S11: computed powder X-ray diffraction pattern (Cu Kα (λ = 1.5418 Å)), based on a PBE-relaxed structure.
Intensities are scaled so that the largest is 100.

The 10 most intense peaks (2θ = 10–80°), most intense first:
2theta  Rel. int.
13.5  100.0
30.7  76.7
20.1  71.7
30.9  56.5
46.9  55.2
27.1  53.4
12.4  52.0
24.2  51.0
38.7  47.1
37.6  46.2

```
Cd2Sb6S11
1.0
10.3538 0.0000 0.0000
0.0000 3.8728 0.0000
-3.2954 0.0000 13.0749
Cd Sb S
2 6 11
Direct
0.0000 0.0000 0.0000
0.4441 0.5000 0.5179
0.0965 0.5000 0.4016
0.3109 0.0000 0.2017
0.3571 0.0000 0.9168
0.6701 0.5000 0.9072
0.7573 0.0000 0.3952
0.9155 0.5000 0.6741
0.0986 0.0000 0.2562
0.1623 0.5000 0.0261
0.3026 0.0000 0.5393
0.4340 0.5000 0.3123
0.4947 0.0000 0.7960
0.4982 0.5000 0.0188
0.7042 0.5000 0.5413
0.7729 0.0000 0.0381
0.8451 0.5000 0.2954
0.8585 0.0000 0.7841
0.9843 0.0000 0.5124
```


Cd3Se2S: computed powder X-ray diffraction pattern (Cu Kα (λ = 1.5418 Å)), based on a PBE-relaxed structure.
Intensities are scaled so that the largest is 100.

The 10 most intense peaks (2θ = 10–80°), most intense first:
2theta  Rel. int.
25.3  100.0
41.9  92.4
49.5  59.7
25.3  33.3
76.4  26.4
60.7  14.5
66.8  13.7
29.3  9.8
66.8  9.7
51.9  2.5

```
Cd3Se2S
1.0
3.7380 -6.4783 0.0000
3.7380 6.4783 0.0000
-2.4854 0.0000 7.0432
Cd Se S
6 4 2
Direct
0.0777 0.9223 0.5000
0.2413 0.7534 0.9885
0.4004 0.5676 0.4875
0.5676 0.4004 0.9875
0.7534 0.2413 0.4885
0.9223 0.0777 0.0000
0.3662 0.8706 0.3679
0.5356 0.7036 0.8674
0.7036 0.5356 0.3674
0.8706 0.3662 0.8679
0.0372 0.2004 0.3666
0.2004 0.0372 0.8666
```


ZnCd2Se2S: computed powder X-ray diffraction pattern (Cu Kα (λ = 1.5418 Å)), based on a PBE-relaxed structure.
Intensities are scaled so that the largest is 100.

The 10 most intense peaks (2θ = 10–80°), most intense first:
2theta  Rel. int.
47.1  100.0
27.7  97.0
26.1  87.7
24.4  82.1
43.0  71.7
36.1  54.8
24.5  51.4
51.0  49.5
42.8  35.9
74.3  30.5

```
ZnCd2Se2S
1.0
6.3376 -3.6381 0.0000
6.3376 3.6381 0.0000
0.0000 0.0000 6.8160
Zn Cd Se S
2 4 4 2
Direct
0.1481 0.8519 0.5000
0.8519 0.1481 0.0000
0.1658 0.5162 0.9835
0.4838 0.8342 0.9835
0.5162 0.1658 0.4835
0.8342 0.4838 0.4835
0.1653 0.5231 0.3767
0.4769 0.8347 0.3767
0.5231 0.1653 0.8767
0.8347 0.4769 0.8767
0.1440 0.8560 0.8487
0.8560 0.1440 0.3487
```


Please write out number 3 again, unchanged.
ZnCd2Se2S: computed powder X-ray diffraction pattern (Cu Kα (λ = 1.5418 Å)), based on a PBE-relaxed structure.
Intensities are scaled so that the largest is 100.

The 10 most intense peaks (2θ = 10–80°), most intense first:
2theta  Rel. int.
47.1  100.0
27.7  97.0
26.1  87.7
24.4  82.1
43.0  71.7
36.1  54.8
24.5  51.4
51.0  49.5
42.8  35.9
74.3  30.5

```
ZnCd2Se2S
1.0
6.3376 -3.6381 0.0000
6.3376 3.6381 0.0000
0.0000 0.0000 6.8160
Zn Cd Se S
2 4 4 2
Direct
0.1481 0.8519 0.5000
0.8519 0.1481 0.0000
0.1658 0.5162 0.9835
0.4838 0.8342 0.9835
0.5162 0.1658 0.4835
0.8342 0.4838 0.4835
0.1653 0.5231 0.3767
0.4769 0.8347 0.3767
0.5231 0.1653 0.8767
0.8347 0.4769 0.8767
0.1440 0.8560 0.8487
0.8560 0.1440 0.3487
```